Record 1
Diffraction record for Ca4Bi6O13. The X-ray diffraction stick pattern is theoretical, not measured: it uses DFT lattice parameters and positions (GGA-PBE) and Cu Kα, 1.54184 Å.
Lines closer than 0.1° are merged.

Atomic structure:
abc: 6.0142 7.2667 9.3678
angles: 90.00 108.72 90.00
Space group Pm (No. 6)
Asymmetric unit:
Ca1 0.0000 0.2477 0.0000
Ca2 0.4296 0.2477 0.8591
Bi1 0.2845 0.2687 0.4295
Bi2 0.6557 0.0000 0.2045
Bi3 0.6571 0.5000 0.2018
Bi4 0.8805 0.0000 0.6548
Bi5 0.8852 0.5000 0.6574
O1 0.1437 0.2550 0.6091
O2 0.1469 0.0000 0.8694
O3 0.1468 0.5000 0.8692
O4 0.4151 0.0000 0.4305
O5 0.4156 0.2510 0.1237
O6 0.7069 0.0000 0.9898
O7 0.7073 0.5000 0.9900
O8 0.7218 0.2506 0.7357
O9 0.9641 0.2541 0.2501

Most intense lines, 10° ≤ 2θ ≤ 90°, in order of rising 2θ:
hkl, two_theta, intensity
1 0 1, 21.1, 37
1 0 2, 29.2, 100
2 0 -1, 29.7, 18
0 2 2, 31.8, 27
2 2 1, 44.1, 32
3 0 1, 52.4, 20

---

Record 2
Diffraction record for Pu2Pd3Pt3. The X-ray diffraction stick pattern is theoretical, not measured: it uses DFT lattice parameters and positions (GGA-PBE) and Cu Kα, 1.54184 Å.
Lines closer than 0.1° are merged.

Atomic structure:
abc: 4.1412 4.1427 8.3222
angles: 90.00 90.00 90.00
Space group Pmmm (No. 47)
Asymmetric unit:
Pu1 0.0000 0.0000 0.2494
Pd1 0.0000 0.5000 0.5000
Pd2 0.5000 0.0000 0.0000
Pd3 0.5000 0.0000 0.5000
Pt1 0.0000 0.5000 0.0000
Pt2 0.5000 0.5000 0.2497

Most intense lines, 10° ≤ 2θ ≤ 90°, in order of rising 2θ:
hkl, two_theta, intensity
1 1 2, 37.6, 100
0 0 4, 43.5, 17
2 0 0, 43.7, 33
2 0 4, 63.4, 22
1 1 6, 75.9, 13
3 1 2, 76.2, 26

---

Record 3
Diffraction record for Li2CrSb2. The X-ray diffraction stick pattern is theoretical, not measured: it uses DFT lattice parameters and positions (GGA-PBE) and Cu Kα, 1.54184 Å.
Lines closer than 0.1° are merged.

Atomic structure:
abc: 6.8683 6.8683 4.1722
angles: 90.00 90.00 90.00
Space group P4/mbm (No. 127)
Asymmetric unit:
Li1 0.1568 0.3432 0.0000
Cr1 0.0000 0.0000 0.5000
Sb1 0.1563 0.6563 0.5000

Most intense lines, 10° ≤ 2θ ≤ 90°, in order of rising 2θ:
hkl, two_theta, intensity
0 0 1, 21.3, 100
2 1 0, 29.1, 71
2 1 1, 36.3, 93
3 1 0, 41.6, 31
3 1 1, 47.2, 37
2 1 2, 53.1, 26

---

Record 4
Diffraction record for ErPd6Au2. The X-ray diffraction stick pattern is theoretical, not measured: it uses DFT lattice parameters and positions (GGA-PBE) and Cu Kα, 1.54184 Å.
Lines closer than 0.1° are merged.

Atomic structure:
abc: 4.5224 4.5224 27.8977
angles: 90.00 90.00 120.00
Space group R-3m (No. 166, hexagonal axes)
Asymmetric unit:
Er1 0.0000 0.0000 0.0000
Pd1 0.0000 0.0000 0.1990
Pd2 0.0000 0.0000 0.2980
Pd3 0.0000 0.0000 0.4038
Au1 0.0000 0.0000 0.1021

Most intense lines, 10° ≤ 2θ ≤ 90°, in order of rising 2θ:
hkl, two_theta, intensity
1 0 1, 22.9, 26
1 0 10, 39.7, 99
1 1 0, 39.9, 100
0 2 10, 57.5, 33
2 1 10, 72.3, 34
3 0 0, 72.4, 17